Te4MoW3Se2S2: computed powder XRD pattern (Cu Kα, 1.54184 Å), based on DFT lattice parameters and positions (PBE).

Largest 10 diffraction maxima, in order of falling intensity, 5° ≤ 2θ ≤ 70°:
2theta, I/Imax, index
11.42, 100.0, 0 0 5
35.70, 88.7, 0 1 8
6.84, 55.0, 0 0 3
43.20, 47.8, 0 1 13
30.39, 41.1, 1 0 0
53.97, 27.5, 1 1 0
38.41, 20.6, 1 0 10
13.71, 18.5, 0 0 6
32.55, 15.3, 1 0 5
44.96, 14.5, 1 0 14

Atomic structure:
a b c (Å): 3.3980 3.3980 38.7447
angles (deg): 90.00 90.00 120.00
Space group P3m1 (No. 156)
Asymmetric unit:
Te 0.0000 0.0000 0.0000 [1 per cell]
Te 0.0000 0.0000 0.0972 [1 per cell]
Te 0.3333 0.6667 0.4364 [1 per cell]
Te 0.3333 0.6667 0.5336 [1 per cell]
Mo 0.3333 0.6667 0.6729 [1 per cell]
W 0.0000 0.0000 0.4850 [1 per cell]
W 0.0000 0.0000 0.8607 [1 per cell]
W 0.3333 0.6667 0.0486 [1 per cell]
Se 0.0000 0.0000 0.6304 [1 per cell]
Se 0.0000 0.0000 0.7154 [1 per cell]
S 0.3333 0.6667 0.8218 [1 per cell]
S 0.3333 0.6667 0.8996 [1 per cell]

***

Sn2P2O9: computed powder XRD pattern (Cu Kα, 1.54184 Å), based on DFT lattice parameters and positions (PBE).

Largest 10 diffraction maxima, in order of falling intensity, 5° ≤ 2θ ≤ 70°:
2theta, I/Imax, index
12.25, 100.0, 2 0 0
29.96, 96.8, 1 2 1
16.53, 78.0, 2 0 1
18.49, 66.0, 1 1 1
23.06, 64.9, 1 0 2
21.53, 61.9, 3 0 1
17.43, 47.6, 0 1 1
12.64, 41.3, 1 0 1
32.95, 36.9, 5 0 1
53.60, 35.2, 0 2 4

Atomic structure:
a b c (Å): 14.451 6.593 8.003
angles (deg): 90.00 90.00 90.00
Space group Pnma (No. 62)
Asymmetric unit:
Sn 0.000 0.000 0.000 [4 per cell]
Sn 0.126 0.250 0.357 [4 per cell]
P 0.063 0.750 0.356 [4 per cell]
P 0.189 0.750 0.894 [4 per cell]
O 0.014 0.250 0.515 [4 per cell]
O 0.015 0.750 0.172 [4 per cell]
O 0.049 0.250 0.137 [4 per cell]
O 0.123 0.561 0.361 [8 per cell]
O 0.127 0.555 0.905 [8 per cell]
O 0.234 0.250 0.531 [4 per cell]
O 0.246 0.750 0.729 [4 per cell]

***

Y2Ge5Rh3: computed powder XRD pattern (Cu Kα, 1.54184 Å), based on DFT lattice parameters and positions (PBE).

Largest 10 diffraction maxima, in order of falling intensity, 5° ≤ 2θ ≤ 70°:
2theta, I/Imax, index
42.65, 100.0, 2 4 -2
34.58, 65.8, 2 4 0
34.45, 48.8, 0 0 2
34.36, 46.1, 4 2 -1
35.51, 41.2, 4 0 -2
33.55, 38.5, 2 2 1
62.42, 24.9, 4 0 -4
38.92, 21.9, 3 3 -2
55.06, 21.2, 0 2 3
46.84, 18.8, 4 4 0

Atomic structure:
a b c (Å): 11.574 12.084 5.953
angles (deg): 90.00 119.02 90.00
Space group C2/c (No. 15)
Asymmetric unit:
Y 0.229 0.136 0.233 [8 per cell]
Ge 0.000 0.007 0.250 [4 per cell]
Ge 0.000 0.278 0.250 [4 per cell]
Ge 0.000 0.287 0.750 [4 per cell]
Ge 0.167 0.404 0.167 [8 per cell]
Rh 0.000 0.498 0.750 [4 per cell]
Rh 0.103 0.142 0.617 [8 per cell]

***

ZnIn3Se6: computed powder XRD pattern (Cu Kα, 1.54184 Å), based on DFT lattice parameters and positions (PBE).

Largest 10 diffraction maxima, in order of falling intensity, 5° ≤ 2θ ≤ 70°:
2theta, I/Imax, index
44.32, 100.0, 0 2 0
27.70, 97.8, 2 0 2
26.18, 70.6, 1 1 -2
48.49, 62.7, 1 1 9
32.38, 60.2, 2 0 4
25.32, 52.9, 2 0 0
12.85, 50.4, 0 0 3
42.13, 36.8, 2 0 7
21.50, 34.2, 0 0 5
38.60, 33.9, 1 1 -7

Atomic structure:
a b c (Å): 7.070 4.093 20.800
angles (deg): 90.00 96.42 90.00
Space group Cm (No. 8)
Asymmetric unit:
Zn 0.000 0.000 0.000 [2 per cell]
In 0.110 0.500 0.829 [2 per cell]
In 0.182 0.000 0.549 [2 per cell]
In 0.398 0.000 0.194 [2 per cell]
Se 0.037 0.500 0.611 [2 per cell]
Se 0.038 0.000 0.114 [2 per cell]
Se 0.142 0.000 0.427 [2 per cell]
Se 0.151 0.500 0.954 [2 per cell]
Se 0.254 0.500 0.261 [2 per cell]
Se 0.257 0.000 0.771 [2 per cell]

***

Tb7Cu3Te12: computed powder XRD pattern (Cu Kα, 1.54184 Å), based on DFT lattice parameters and positions (PBE).

Largest 10 diffraction maxima, in order of falling intensity, 5° ≤ 2θ ≤ 70°:
2theta, I/Imax, index
27.91, 100.0, 2 -1 2
41.34, 56.1, 3 0 -1
27.77, 50.6, 1 1 -3
41.80, 27.3, 3 -3 0
38.17, 25.0, 1 -2 5
43.56, 24.5, -2 1 6
31.78, 23.5, -1 2 3
12.51, 22.9, 0 0 2
36.40, 19.3, 1 1 -5
50.93, 19.0, 2 -4 3

Atomic structure:
a b c (Å): 7.512 7.513 14.366
angles (deg): 94.93 95.06 119.29
Space group P1 (No. 1)
Asymmetric unit:
Tb 0.000 0.000 0.000 [1 per cell]
Tb 0.083 0.753 0.255 [1 per cell]
Tb 0.245 0.917 0.747 [1 per cell]
Tb 0.415 0.413 0.255 [1 per cell]
Tb 0.588 0.589 0.747 [1 per cell]
Tb 0.756 0.090 0.255 [1 per cell]
Tb 0.915 0.244 0.747 [1 per cell]
Cu 0.141 0.476 0.430 [1 per cell]
Cu 0.478 0.145 0.430 [1 per cell]
Cu 0.527 0.859 0.576 [1 per cell]
Te 0.043 0.379 0.127 [1 per cell]
Te 0.125 0.126 0.387 [1 per cell]
Te 0.203 0.537 0.620 [1 per cell]
Te 0.294 0.294 0.877 [1 per cell]
Te 0.377 0.041 0.127 [1 per cell]
Te 0.468 0.794 0.384 [1 per cell]
Te 0.538 0.211 0.620 [1 per cell]
Te 0.623 0.960 0.877 [1 per cell]
Te 0.707 0.709 0.127 [1 per cell]
Te 0.794 0.468 0.386 [1 per cell]
Te 0.876 0.872 0.619 [1 per cell]
Te 0.960 0.625 0.877 [1 per cell]

***

PrMgCu2O6: computed powder XRD pattern (Cu Kα, 1.54184 Å), based on DFT lattice parameters and positions (PBE).

Largest 10 diffraction maxima, in order of falling intensity, 5° ≤ 2θ ≤ 70°:
2theta, I/Imax, index
33.55, 100.0, 2 1 1
48.17, 40.7, 4 0 0
20.59, 29.1, 1 0 1
20.11, 28.2, 1 1 0
60.72, 22.3, 2 1 3
32.92, 22.1, 0 2 0
34.12, 21.6, 0 0 2
39.93, 15.7, 1 1 2
59.18, 13.8, 2 3 1
60.38, 11.0, 4 0 2

Atomic structure:
a b c (Å): 7.550 5.442 5.255
angles (deg): 90.00 90.00 90.00
Space group Pmn2_1 (No. 31)
Asymmetric unit:
Pr 0.000 0.205 0.000 [2 per cell]
Mg 0.000 0.686 0.462 [2 per cell]
Cu 0.248 0.749 0.988 [4 per cell]
O 0.000 0.300 0.562 [2 per cell]
O 0.000 0.770 0.860 [2 per cell]
O 0.193 0.948 0.299 [4 per cell]
O 0.196 0.484 0.219 [4 per cell]

***

Cu4As3PbO12: computed powder XRD pattern (Cu Kα, 1.54184 Å), based on DFT lattice parameters and positions (PBE).

Largest 10 diffraction maxima, in order of falling intensity, 5° ≤ 2θ ≤ 70°:
2theta, I/Imax, index
30.20, 100.0, 1 -1 3
27.68, 89.0, 1 2 0
34.80, 57.2, 1 -3 0
28.71, 44.9, 1 0 -3
25.93, 43.9, 1 -2 0
32.90, 41.5, 0 1 4
27.12, 38.5, -1 2 1
33.88, 34.7, 2 0 0
30.90, 31.3, 1 1 -3
31.19, 30.4, 0 2 -3

Atomic structure:
a b c (Å): 5.303 8.563 11.520
angles (deg): 90.47 90.10 93.75
Space group P-1 (No. 2)
Asymmetric unit:
Cu 0.000 0.000 0.000 [1 per cell]
Cu 0.000 0.500 0.500 [1 per cell]
Cu 0.228 0.450 0.023 [2 per cell]
Cu 0.466 0.419 0.320 [2 per cell]
Cu 0.483 0.795 0.169 [2 per cell]
As 0.018 0.403 0.768 [2 per cell]
As 0.459 0.840 0.889 [2 per cell]
As 0.461 0.771 0.449 [2 per cell]
Pb 0.003 0.959 0.669 [2 per cell]
O 0.133 0.781 0.237 [2 per cell]
O 0.175 0.474 0.644 [2 per cell]
O 0.197 0.463 0.186 [2 per cell]
O 0.221 0.104 0.118 [2 per cell]
O 0.226 0.891 0.486 [2 per cell]
O 0.265 0.395 0.867 [2 per cell]
O 0.284 0.009 0.888 [2 per cell]
O 0.311 0.582 0.417 [2 per cell]
O 0.325 0.252 0.441 [2 per cell]
O 0.364 0.734 0.011 [2 per cell]
O 0.366 0.743 0.764 [2 per cell]
O 0.382 0.160 0.675 [2 per cell]

***

Ba2N: computed powder XRD pattern (Cu Kα, 1.54184 Å), based on DFT lattice parameters and positions (PBE).

Largest 10 diffraction maxima, in order of falling intensity, 5° ≤ 2θ ≤ 70°:
2theta, I/Imax, index
26.50, 100.0, 0 1 2
29.82, 80.6, 1 0 4
11.63, 38.9, 0 0 3
44.59, 31.2, 1 1 0
23.38, 29.1, 0 0 6
37.60, 25.5, 1 0 7
50.95, 21.7, 1 1 6
51.10, 18.1, 0 1 11
40.71, 17.8, 0 1 8
58.17, 16.2, 1 1 9

Atomic structure:
a b c (Å): 4.0643 4.0643 22.8261
angles (deg): 90.00 90.00 120.00
Space group R-3m (No. 166, hexagonal axes)
Asymmetric unit:
Ba 0.0000 0.0000 0.2327 [6 per cell]
N 0.0000 0.0000 0.5000 [3 per cell]

***

Ba2MnS3: computed powder XRD pattern (Cu Kα, 1.54184 Å), based on DFT lattice parameters and positions (PBE).

Largest 10 diffraction maxima, in order of falling intensity, 5° ≤ 2θ ≤ 70°:
2theta, I/Imax, index
25.69, 100.0, 0 1 3
29.15, 74.2, 2 1 1
30.54, 72.3, 2 1 2
22.48, 69.0, 2 0 2
22.96, 59.5, 1 0 4
41.50, 58.6, 0 2 0
23.33, 57.0, 1 1 1
39.00, 56.2, 2 1 5
30.90, 55.8, 1 1 4
28.68, 53.4, 2 1 0

Atomic structure:
a b c (Å): 8.909 4.352 17.208
angles (deg): 90.00 90.00 90.00
Space group Pnma (No. 62)
Asymmetric unit:
Ba 0.083 0.250 0.214 [4 per cell]
Ba 0.245 0.250 0.957 [4 per cell]
Mn 0.128 0.250 0.634 [4 per cell]
S 0.006 0.750 0.602 [4 per cell]
S 0.131 0.750 0.073 [4 per cell]
S 0.178 0.250 0.770 [4 per cell]

***

HfMg14GaO16: computed powder XRD pattern (Cu Kα, 1.54184 Å), based on DFT lattice parameters and positions (PBE).

Largest 10 diffraction maxima, in order of falling intensity, 5° ≤ 2θ ≤ 70°:
2theta, I/Imax, index
10.10, 100.0, 0 1 0
40.98, 63.2, 0 0 4
41.31, 61.6, 0 4 0
35.59, 61.1, 1 2 2
41.70, 61.1, 2 0 0
30.70, 41.8, 0 3 0
22.90, 36.9, 1 1 0
59.90, 36.5, 2 0 4
59.60, 36.4, 0 4 4
60.14, 36.0, 2 4 0

Atomic structure:
a b c (Å): 4.332 8.743 8.809
angles (deg): 90.00 90.00 90.00
Space group Pmmm (No. 47)
Asymmetric unit:
Hf 0.000 0.000 0.000 [1 per cell]
Mg 0.000 0.258 0.258 [4 per cell]
Mg 0.000 0.500 0.000 [1 per cell]
Mg 0.000 0.500 0.500 [1 per cell]
Mg 0.500 0.000 0.262 [2 per cell]
Mg 0.500 0.254 0.500 [2 per cell]
Mg 0.500 0.258 0.000 [2 per cell]
Mg 0.500 0.500 0.252 [2 per cell]
Ga 0.000 0.000 0.500 [1 per cell]
O 0.000 0.000 0.230 [2 per cell]
O 0.000 0.254 0.000 [2 per cell]
O 0.000 0.274 0.500 [2 per cell]
O 0.000 0.500 0.245 [2 per cell]
O 0.500 0.000 0.000 [1 per cell]
O 0.500 0.000 0.500 [1 per cell]
O 0.500 0.249 0.250 [4 per cell]
O 0.500 0.500 0.000 [1 per cell]
O 0.500 0.500 0.500 [1 per cell]